1.
Diffraction record for NiPd12Au3. The powder diffraction line list is theoretical, not measured: it uses a structure optimized by DFT (GGA-PBE) and a wavelength of 1.5418 Å.
Neutral-atom scattering factors, no anomalous dispersion.

Structure:
```
data_NiPd12Au3
_chemical_formula_sum 'Ni1 Pd12 Au3'
_cell_length_a 3.985
_cell_length_b 3.985
_cell_length_c 15.820
_cell_angle_alpha 90.00
_cell_angle_beta 90.00
_cell_angle_gamma 90.00
_space_group_name_H-M_alt 'P 4/m m m'
_space_group_IT_number 123
_space_group_name_Hall '-P 4 2'
loop_
_atom_site_label
_atom_site_type_symbol
_atom_site_fract_x
_atom_site_fract_y
_atom_site_fract_z
Ni1 Ni 0.000 0.000 0.000
Pd1 Pd 0.000 0.500 0.116
Pd2 Pd 0.000 0.500 0.372
Pd3 Pd 0.500 0.500 0.000
Pd4 Pd 0.500 0.500 0.244
Pd5 Pd 0.500 0.500 0.500
Au1 Au 0.000 0.000 0.244
Au2 Au 0.000 0.000 0.500
```

Principal peaks in the range 10° ≤ 2θ ≤ 90°, in order of falling intensity:
| d/Å | 2θ (°) | I_rel |
| --- | --- | --- |
| 2.295 | 39.26 | 100 |
| 1.992 | 45.53 | 33 |
| 1.201 | 79.90 | 25 |
| 1.404 | 66.63 | 20 |
| 1.977 | 45.89 | 15 |
| 1.409 | 66.35 | 11 |
| 1.194 | 80.42 | 11 |
| 1.147 | 84.42 | 10 |
| 3.985 | 22.31 | 3 |
| 2.485 | 36.14 | 2 |

2.
Diffraction record for Dy5YAg6. The powder diffraction line list is theoretical, not measured: it uses a structure optimized by DFT (GGA-PBE) and a wavelength of 1.5418 Å.
Neutral-atom scattering factors, no anomalous dispersion.

Structure:
```
data_Dy5YAg6
_chemical_formula_sum 'Dy5 Y1 Ag6'
_cell_length_a 5.166
_cell_length_b 7.217
_cell_length_c 8.163
_cell_angle_alpha 90.00
_cell_angle_beta 108.33
_cell_angle_gamma 90.00
_space_group_name_H-M_alt 'P 1 2/m 1'
_space_group_IT_number 10
_space_group_name_Hall '-P 2y'
loop_
_atom_site_label
_atom_site_type_symbol
_atom_site_fract_x
_atom_site_fract_y
_atom_site_fract_z
Dy1 Dy 0.000 0.000 0.000
Dy2 Dy 0.333 0.500 0.666
Dy3 Dy 0.334 0.000 0.667
Y1 Y 0.000 0.500 0.000
Ag1 Ag 0.167 0.249 0.334
Ag2 Ag 0.500 0.249 0.000
```

Principal peaks in the range 10° ≤ 2θ ≤ 90°, in order of falling intensity:
| d/Å | 2θ (°) | I_rel |
| --- | --- | --- |
| 2.567 | 34.95 | 100 |
| 2.583 | 34.73 | 51 |
| 1.488 | 62.40 | 36 |
| 1.479 | 62.83 | 18 |
| 1.284 | 73.83 | 11 |
| 1.828 | 49.88 | 9 |
| 1.825 | 49.99 | 9 |
| 1.804 | 50.59 | 9 |
| 1.155 | 83.79 | 8 |
| 1.142 | 84.88 | 8 |

3.
Diffraction record for Er2AgSn4. The powder diffraction line list is theoretical, not measured: it uses a structure optimized by DFT (GGA-PBE) and a wavelength of 1.5418 Å.
Neutral-atom scattering factors, no anomalous dispersion.

Structure:
```
data_Er2AgSn4
_chemical_formula_sum 'Er2 Ag1 Sn4'
_cell_length_a 4.450
_cell_length_b 4.450
_cell_length_c 9.176
_cell_angle_alpha 90.00
_cell_angle_beta 90.00
_cell_angle_gamma 90.00
_space_group_name_H-M_alt 'P -4 m 2'
_space_group_IT_number 115
_space_group_name_Hall 'P -4 -2'
loop_
_atom_site_label
_atom_site_type_symbol
_atom_site_fract_x
_atom_site_fract_y
_atom_site_fract_z
Er1 Er 0.000 0.500 0.227
Ag1 Ag 0.500 0.500 0.000
Sn1 Sn 0.000 0.000 0.500
Sn2 Sn 0.000 0.500 0.814
Sn3 Sn 0.500 0.500 0.500
```

Principal peaks in the range 10° ≤ 2θ ≤ 90°, in order of falling intensity:
| d/Å | 2θ (°) | I_rel |
| --- | --- | --- |
| 2.595 | 34.57 | 100 |
| 2.225 | 40.54 | 40 |
| 1.345 | 69.92 | 26 |
| 2.977 | 30.02 | 15 |
| 1.573 | 58.68 | 13 |
| 3.059 | 29.20 | 13 |
| 1.597 | 57.72 | 13 |
| 1.799 | 50.74 | 12 |
| 1.585 | 58.20 | 11 |
| 4.004 | 22.20 | 10 |

4.
Diffraction record for CsHfMg14O15. The powder diffraction line list is theoretical, not measured: it uses a structure optimized by DFT (GGA-PBE) and a wavelength of 1.5418 Å.
Neutral-atom scattering factors, no anomalous dispersion.

Structure:
```
data_CsHfMg14O15
_chemical_formula_sum 'Cs1 Hf1 Mg14 O15'
_cell_length_a 4.175
_cell_length_b 8.454
_cell_length_c 12.128
_cell_angle_alpha 90.00
_cell_angle_beta 90.00
_cell_angle_gamma 90.00
_space_group_name_H-M_alt 'P m m 2'
_space_group_IT_number 25
_space_group_name_Hall 'P 2 -2'
loop_
_atom_site_label
_atom_site_type_symbol
_atom_site_fract_x
_atom_site_fract_y
_atom_site_fract_z
Cs1 Cs 0.000 0.000 0.000
Hf1 Hf 0.000 0.500 0.520
Mg1 Mg 0.000 0.000 0.518
Mg2 Mg 0.000 0.236 0.318
Mg3 Mg 0.000 0.251 0.712
Mg4 Mg 0.000 0.500 0.131
Mg5 Mg 0.500 0.000 0.320
Mg6 Mg 0.500 0.000 0.705
Mg7 Mg 0.500 0.237 0.519
Mg8 Mg 0.500 0.243 0.154
Mg9 Mg 0.500 0.500 0.320
Mg10 Mg 0.500 0.500 0.735
O1 O 0.000 0.000 0.356
O2 O 0.000 0.254 0.529
O3 O 0.000 0.270 0.155
O4 O 0.000 0.500 0.353
O5 O 0.000 0.500 0.697
O6 O 0.500 0.000 0.156
O7 O 0.500 0.000 0.532
O8 O 0.500 0.251 0.343
O9 O 0.500 0.254 0.702
O10 O 0.500 0.500 0.155
O11 O 0.500 0.500 0.519
```

Principal peaks in the range 10° ≤ 2θ ≤ 90°, in order of falling intensity:
| d/Å | 2θ (°) | I_rel |
| --- | --- | --- |
| 6.936 | 12.76 | 100 |
| 2.667 | 33.60 | 53 |
| 3.577 | 24.89 | 49 |
| 2.746 | 32.61 | 39 |
| 2.114 | 42.78 | 31 |
| 2.087 | 43.35 | 31 |
| 3.468 | 25.69 | 30 |
| 6.064 | 14.61 | 30 |
| 3.647 | 24.41 | 30 |
| 3.439 | 25.91 | 30 |

5.
Diffraction record for CuBi. The powder diffraction line list is theoretical, not measured: it uses a structure optimized by DFT (GGA-PBE) and a wavelength of 1.5418 Å.
Neutral-atom scattering factors, no anomalous dispersion.

Structure:
```
data_CuBi
_chemical_formula_sum 'Cu4 Bi4'
_cell_length_a 5.622
_cell_length_b 5.622
_cell_length_c 5.624
_cell_angle_alpha 90.00
_cell_angle_beta 90.00
_cell_angle_gamma 90.00
_space_group_name_H-M_alt 'P 42/m n m'
_space_group_IT_number 136
_space_group_name_Hall '-P 4n 2n'
loop_
_atom_site_label
_atom_site_type_symbol
_atom_site_fract_x
_atom_site_fract_y
_atom_site_fract_z
Cu1 Cu 0.245 0.245 0.000
Bi1 Bi 0.244 0.244 0.500
```

Principal peaks in the range 10° ≤ 2θ ≤ 90°, in order of falling intensity:
| d/Å | 2θ (°) | I_rel |
| --- | --- | --- |
| 2.812 | 31.83 | 100 |
| 1.988 | 45.63 | 74 |
| 3.246 | 27.47 | 47 |
| 1.257 | 75.63 | 33 |
| 1.623 | 56.71 | 26 |
| 1.148 | 84.39 | 26 |
| 1.695 | 54.09 | 24 |
| 1.406 | 66.51 | 12 |
| 1.290 | 73.40 | 10 |
| 1.227 | 77.85 | 1 |

6.
Diffraction record for K2BiSb4Au3. The powder diffraction line list is theoretical, not measured: it uses a structure optimized by DFT (GGA-PBE) and a wavelength of 1.5418 Å.
Neutral-atom scattering factors, no anomalous dispersion.

Structure:
```
data_K2BiSb4Au3
_chemical_formula_sum 'K2 Bi1 Sb4 Au3'
_cell_length_a 5.018
_cell_length_b 5.018
_cell_length_c 11.646
_cell_angle_alpha 90.00
_cell_angle_beta 90.00
_cell_angle_gamma 90.00
_space_group_name_H-M_alt 'P -4 m 2'
_space_group_IT_number 115
_space_group_name_Hall 'P -4 -2'
loop_
_atom_site_label
_atom_site_type_symbol
_atom_site_fract_x
_atom_site_fract_y
_atom_site_fract_z
K1 K 0.000 0.500 0.244
Bi1 Bi 0.000 0.000 0.500
Sb1 Sb 0.000 0.000 0.000
Sb2 Sb 0.000 0.500 0.646
Sb3 Sb 0.500 0.500 0.000
Au1 Au 0.000 0.500 0.885
Au2 Au 0.500 0.500 0.500
```

Principal peaks in the range 10° ≤ 2θ ≤ 90°, in order of falling intensity:
| d/Å | 2θ (°) | I_rel |
| --- | --- | --- |
| 2.251 | 40.06 | 100 |
| 2.509 | 35.79 | 94 |
| 3.030 | 29.48 | 93 |
| 4.608 | 19.26 | 64 |
| 5.823 | 15.22 | 59 |
| 1.393 | 67.19 | 44 |
| 3.070 | 29.08 | 44 |
| 1.774 | 51.51 | 33 |
| 1.943 | 46.76 | 28 |
| 2.304 | 39.09 | 24 |